For ZnFe2Bi, the PBE geometry in OQMD gives the computed X-ray diffraction stick pattern in this record (Cu Kα X-rays).

Structural model:
Unit cell a=6.472 b=6.472 c=6.472 alpha=90.00 beta=90.00 gamma=90.00
Space group Pm-3m (No. 221)
Unique sites:
Zn: 0.000 0.000 0.000
Zn: 0.000 0.000 0.500
Fe: 0.209 0.209 0.209
Bi: 0.000 0.500 0.500
Bi: 0.500 0.500 0.500

Top 12 peaks for 10° ≤ 2θ ≤ 80°, in order of rising 2θ:
hkl 1 0 0, d 6.472, 2θ 13.7, I = 6
hkl 1 1 1, d 3.736, 2θ 23.8, I = 8
hkl 2 0 0, d 3.236, 2θ 27.6, I = 28
hkl 2 1 0, d 2.894, 2θ 30.9, I = 25
hkl 2 2 0, d 2.288, 2θ 39.4, I = 100
hkl 3 0 0, d 2.157, 2θ 41.9, I = 10
hkl 2 2 2, d 1.868, 2θ 48.7, I = 11
hkl 4 0 0, d 1.618, 2θ 56.9, I = 14
hkl 3 2 2, d 1.570, 2θ 58.8, I = 9
hkl 4 2 0, d 1.447, 2θ 64.4, I = 18
hkl 4 2 2, d 1.321, 2θ 71.4, I = 27
hkl 5 2 0, d 1.202, 2θ 79.8, I = 6


For ZnFe2Bi, the PBE geometry in OQMD gives the computed X-ray diffraction stick pattern in this record (Cu Kα X-rays).

Structural model:
Unit cell a=6.466 b=6.466 c=6.466 alpha=90.00 beta=90.00 gamma=90.00
Space group Pm-3m (No. 221)
Unique sites:
Zn: 0.000 0.000 0.000
Zn: 0.000 0.000 0.500
Fe: 0.210 0.210 0.210
Bi: 0.000 0.500 0.500
Bi: 0.500 0.500 0.500

Top 12 peaks for 10° ≤ 2θ ≤ 80°, in order of rising 2θ:
hkl 1 0 0, d 6.466, 2θ 13.7, I = 6
hkl 1 1 1, d 3.733, 2θ 23.8, I = 8
hkl 2 0 0, d 3.233, 2θ 27.6, I = 28
hkl 2 1 0, d 2.892, 2θ 30.9, I = 24
hkl 2 2 0, d 2.286, 2θ 39.4, I = 100
hkl 3 0 0, d 2.155, 2θ 41.9, I = 9
hkl 2 2 2, d 1.867, 2θ 48.8, I = 11
hkl 4 0 0, d 1.617, 2θ 57.0, I = 15
hkl 3 2 2, d 1.568, 2θ 58.9, I = 9
hkl 4 2 0, d 1.446, 2θ 64.4, I = 18
hkl 4 2 2, d 1.320, 2θ 71.5, I = 27
hkl 5 2 0, d 1.201, 2θ 79.9, I = 6


For HfGaBi, the PBE geometry in OQMD gives the computed X-ray diffraction stick pattern in this record (Cu Kα X-rays).

Structural model:
Unit cell a=6.976 b=6.976 c=6.976 alpha=90.00 beta=90.00 gamma=90.00
Space group F-43m (No. 216)
Unique sites:
Hf: 0.000 0.000 0.000
Ga: 0.000 0.000 0.500
Bi: 0.250 0.250 0.750

Top 9 peaks for 10° ≤ 2θ ≤ 80°, in order of rising 2θ:
hkl 1 1 1, d 4.028, 2θ 22.1, I = 60
hkl 2 0 0, d 3.488, 2θ 25.5, I = 1
hkl 2 2 0, d 2.466, 2θ 36.4, I = 100
hkl 3 1 1, d 2.103, 2θ 43.0, I = 33
hkl 4 0 0, d 1.744, 2θ 52.5, I = 18
hkl 3 3 1, d 1.600, 2θ 57.6, I = 14
hkl 4 2 2, d 1.424, 2θ 65.6, I = 37
hkl 5 1 1, d 1.343, 2θ 70.1, I = 11
hkl 4 4 0, d 1.233, 2θ 77.4, I = 12


For Nb2GaBiIr2, the PBE geometry in OQMD gives the computed X-ray diffraction stick pattern in this record (Cu Kα X-rays).

Structural model:
Unit cell a=6.214 b=6.214 c=12.387 alpha=90.00 beta=90.00 gamma=90.00
Space group I-42d (No. 122)
Unique sites:
Nb: 0.000 0.000 0.243
Ga: 0.000 0.000 0.000
Bi: 0.000 0.000 0.500
Ir: 0.235 0.250 0.125

Top 12 peaks for 10° ≤ 2θ ≤ 80°, in order of rising 2θ:
hkl 1 0 1, d 5.554, 2θ 16.0, I = 4
hkl 1 1 2, d 3.584, 2θ 24.8, I = 52
hkl 1 0 3, d 3.439, 2θ 25.9, I = 5
hkl 2 1 1, d 2.711, 2θ 33.0, I = 4
hkl 2 0 4, d 2.195, 2θ 41.1, I = 100
hkl 3 1 2, d 1.873, 2θ 48.6, I = 17
hkl 1 1 6, d 1.869, 2θ 48.7, I = 9
hkl 4 0 0, d 1.553, 2θ 59.5, I = 11
hkl 0 0 8, d 1.548, 2θ 59.7, I = 6
hkl 3 1 6, d 1.423, 2θ 65.6, I = 7
hkl 4 2 4, d 1.268, 2θ 74.9, I = 22
hkl 2 2 8, d 1.266, 2θ 75.1, I = 11


For Ta2GaBiIr2, the PBE geometry in OQMD gives the computed X-ray diffraction stick pattern in this record (Cu Kα X-rays).

Structural model:
Unit cell a=6.208 b=6.208 c=12.370 alpha=90.00 beta=90.00 gamma=90.00
Space group I-42d (No. 122)
Unique sites:
Ta: 0.000 0.000 0.243
Ga: 0.000 0.000 0.000
Bi: 0.000 0.000 0.500
Ir: 0.237 0.750 0.125

Top 12 peaks for 10° ≤ 2θ ≤ 80°, in order of rising 2θ:
hkl 1 0 1, d 5.549, 2θ 16.0, I = 3
hkl 1 1 2, d 3.580, 2θ 24.9, I = 36
hkl 1 0 3, d 3.435, 2θ 25.9, I = 4
hkl 2 0 0, d 3.104, 2θ 28.8, I = 6
hkl 2 2 0, d 2.192, 2θ 41.2, I = 100
hkl 3 1 2, d 1.871, 2θ 48.7, I = 12
hkl 1 1 6, d 1.866, 2θ 48.8, I = 6
hkl 4 0 0, d 1.552, 2θ 59.6, I = 11
hkl 0 0 8, d 1.546, 2θ 59.8, I = 5
hkl 3 1 6, d 1.422, 2θ 65.7, I = 5
hkl 4 2 4, d 1.266, 2θ 75.0, I = 23
hkl 2 2 8, d 1.264, 2θ 75.2, I = 11


For Zr2GaBiS6, the PBE geometry in OQMD gives the computed X-ray diffraction stick pattern in this record (Cu Kα X-rays).

Structural model:
Unit cell a=11.243 b=3.681 c=12.356 alpha=90.00 beta=114.59 gamma=90.00
Space group P2_1/m (No. 11)
Unique sites:
Zr: 0.048 0.250 0.125
Zr: 0.262 0.250 0.730
Ga: 0.156 0.750 0.391
Bi: 0.406 0.250 0.122
S: 0.047 0.250 0.776
S: 0.157 0.750 0.577
S: 0.167 0.750 0.061
S: 0.252 0.250 0.347
S: 0.357 0.750 0.896
S: 0.479 0.250 0.709

Top 12 peaks for 10° ≤ 2θ ≤ 80°, in order of rising 2θ:
hkl 2 0 -1, d 5.617, 2θ 15.8, I = 36
hkl 1 0 -3, d 4.112, 2θ 21.6, I = 57
hkl 3 0 -1, d 3.719, 2θ 23.9, I = 79
hkl 0 1 2, d 3.079, 2θ 29.0, I = 100
hkl 2 1 0, d 2.987, 2θ 29.9, I = 37
hkl 0 0 4, d 2.809, 2θ 31.9, I = 44
hkl 1 1 2, d 2.778, 2θ 32.2, I = 43
hkl 0 1 3, d 2.625, 2θ 34.2, I = 52
hkl 3 1 -3, d 2.454, 2θ 36.6, I = 72
hkl 3 1 1, d 2.297, 2θ 39.2, I = 39
hkl 3 1 -4, d 2.237, 2θ 40.3, I = 45
hkl 0 2 0, d 1.841, 2θ 49.5, I = 40


For GdHoSc2Bi2, the PBE geometry in OQMD gives the computed X-ray diffraction stick pattern in this record (Cu Kα X-rays).

Structural model:
Unit cell a=4.414 b=4.414 c=16.593 alpha=90.00 beta=90.00 gamma=90.00
Space group I4mm (No. 107)
Unique sites:
Gd: 0.000 0.000 0.000
Ho: 0.000 0.000 0.648
Sc: 0.000 0.500 0.323
Bi: 0.000 0.000 0.193
Bi: 0.000 0.000 0.455

Top 12 peaks for 10° ≤ 2θ ≤ 80°, in order of rising 2θ:
hkl 0 0 4, d 4.148, 2θ 21.4, I = 40
hkl 1 1 0, d 3.121, 2θ 28.6, I = 100
hkl 1 1 2, d 2.921, 2θ 30.6, I = 40
hkl 0 0 6, d 2.766, 2θ 32.4, I = 21
hkl 1 0 5, d 2.653, 2θ 33.8, I = 68
hkl 1 1 4, d 2.494, 2θ 36.0, I = 93
hkl 2 0 0, d 2.207, 2θ 40.9, I = 64
hkl 2 0 4, d 1.949, 2θ 46.6, I = 23
hkl 2 1 5, d 1.697, 2θ 54.1, I = 37
hkl 2 2 0, d 1.561, 2θ 59.2, I = 22
hkl 1 0 11, d 1.427, 2θ 65.4, I = 22
hkl 3 1 4, d 1.323, 2θ 71.3, I = 26


For PrGdBiI2, the PBE geometry in OQMD gives the computed X-ray diffraction stick pattern in this record (Cu Kα X-rays).

Structural model:
Unit cell a=4.4780 b=4.4780 c=11.5257 alpha=90.00 beta=90.00 gamma=120.00
Space group P3m1 (No. 156)
Unique sites:
Pr: 0.0000 0.0000 0.0000
Gd: 0.6667 0.3333 0.6892
Bi: 0.3333 0.6667 0.8377
I: 0.0000 0.0000 0.5243
I: 0.6667 0.3333 0.1742

Top 12 peaks for 10° ≤ 2θ ≤ 80°, in order of rising 2θ:
hkl 1 0 1, d 3.676, 2θ 24.2, I = 16
hkl 1 0 2, d 3.217, 2θ 27.7, I = 100
hkl 1 0 3, d 2.729, 2θ 32.8, I = 14
hkl 0 1 4, d 2.313, 2θ 38.9, I = 39
hkl 1 1 0, d 2.239, 2θ 40.3, I = 37
hkl 1 1 1, d 2.198, 2θ 41.1, I = 8
hkl 0 1 5, d 1.982, 2θ 45.8, I = 8
hkl 0 2 2, d 1.838, 2θ 49.6, I = 20
hkl 2 0 4, d 1.609, 2θ 57.3, I = 13
hkl 1 1 6, d 1.458, 2θ 63.8, I = 17
hkl 2 1 2, d 1.421, 2θ 65.7, I = 17
hkl 1 2 4, d 1.306, 2θ 72.3, I = 13